Record 1
# CsCaAsS4
Calculated powder diffractogram, Cu Ka. Input: a cell relaxed with GGA-PBE.
Kinematic intensities with the Lorentz-polarization factor, no thermal factor.

Principal peaks in the range 2θ from 10° to 80°, by angle:
- d 6.156, 14.39°, I = 25
- d 4.598, 19.30°, I = 100
- d 3.828, 23.24°, I = 33
- d 3.780, 23.53°, I = 42
- d 3.467, 25.70°, I = 57
- d 3.078, 29.01°, I = 35
- d 2.940, 30.40°, I = 52
- d 2.813, 31.81°, I = 44
- d 2.761, 32.42°, I = 27
- d 2.346, 38.37°, I = 46

Structure:
Unit cell a=6.6854 b=6.9336 c=9.4630 alpha=90.00 beta=107.62 gamma=90.00
Space group P2_1/m (No. 11)
One atom of each set of equivalent atoms:
Cs1 0.2346 0.2500 0.4352 x2
Ca1 0.2687 0.2500 0.9523 x2
As1 0.2855 0.7500 0.1648 x2
S1 0.0848 0.7500 0.9358 x2
S2 0.0908 0.7500 0.3132 x2
S3 0.4986 0.5012 0.2015 x4

Record 2
# CaCuAs2
Calculated powder diffractogram, Cu Ka. Input: a cell relaxed with GGA-PBE.
Kinematic intensities with the Lorentz-polarization factor, no thermal factor.

Principal peaks in the range 2θ from 10° to 80°, by angle:
- d 4.315, 20.58°, I = 100
- d 3.179, 28.07°, I = 33
- d 3.035, 29.43°, I = 50
- d 2.627, 34.13°, I = 81
- d 2.350, 38.29°, I = 56
- d 2.158, 41.87°, I = 21
- d 2.064, 43.86°, I = 28
- d 2.013, 45.04°, I = 57
- d 1.858, 49.02°, I = 23
- d 1.852, 49.21°, I = 21

Structure:
Unit cell a=4.3192 b=4.7009 c=4.4584 alpha=90.00 beta=92.45 gamma=90.00
Space group Pm (No. 6)
One atom of each set of equivalent atoms:
Ca1 0.0000 0.0000 0.0000 x1
Cu1 0.3672 0.5000 0.6578 x1
As1 0.5051 0.0000 0.4814 x1
As2 0.5354 0.5000 0.1585 x1

Record 3
# CaCu3As
Calculated powder diffractogram, Cu Ka. Input: a cell relaxed with GGA-PBE.
Kinematic intensities with the Lorentz-polarization factor, no thermal factor.

Principal peaks in the range 2θ from 10° to 80°, by angle:
- d 4.629, 19.17°, I = 61
- d 3.273, 27.25°, I = 13
- d 2.673, 33.53°, I = 57
- d 2.314, 38.91°, I = 100
- d 2.070, 43.73°, I = 30
- d 1.637, 56.21°, I = 64
- d 1.543, 59.95°, I = 14
- d 1.396, 67.06°, I = 19
- d 1.336, 70.47°, I = 21
- d 1.284, 73.81°, I = 6

Structure:
Unit cell a=4.6289 b=4.6289 c=4.6289 alpha=90.00 beta=90.00 gamma=90.00
Space group Pm-3m (No. 221)
One atom of each set of equivalent atoms:
Ca1 0.0000 0.0000 0.0000 x1
Cu1 0.0000 0.5000 0.5000 x3
As1 0.5000 0.5000 0.5000 x1